(1)
This entry pairs a crystal structure of RbMg6Bi with its computed X-ray powder pattern. Radiation: λ = 1.5418 Å (Cu Kα). Structure: a crystal structure in the Materials Project, relaxed with GGA-PBE.
No peak broadening, texture or thermal motion is included.

Atomic structure:
a b c (Å): 5.2160 7.1442 7.1442
angles (deg): 59.84 90.00 90.00
Fractional positions:
Rb 0.0000 0.0000 0.0000
Mg 0.0000 0.0010 0.4969
Mg 0.0000 0.4969 0.0010
Mg 0.0000 0.5180 0.5180
Mg 0.5000 0.3445 0.3445
Mg 0.5000 0.3860 0.8181
Mg 0.5000 0.8181 0.3860
Bi 0.5000 0.8183 0.8183

Top 12 peaks for 10° ≤ 2θ ≤ 90°, by angle:
| 2θ/deg | Rel. int. |
| --- | --- |
| 14.33 | 948 |
| 22.30 | 718 |
| 24.97 | 210 |
| 28.88 | 291 |
| 30.33 | 393 |
| 33.71 | 1000 |
| 34.39 | 219 |
| 37.43 | 196 |
| 38.50 | 180 |
| 45.50 | 170 |
| 52.59 | 218 |
| 61.16 | 178 |

=====

(2)
This entry pairs a crystal structure of RbMg6Bi with its computed X-ray powder pattern. Radiation: λ = 1.5418 Å (Cu Kα). Structure: a crystal structure in the Materials Project, relaxed with GGA-PBE.
No peak broadening, texture or thermal motion is included.

Atomic structure:
a b c (Å): 5.3536 7.0625 7.0625
angles (deg): 57.94 90.00 90.00
Fractional positions:
Rb 0.0000 0.0000 0.0000
Mg 0.0000 0.0044 0.4942
Mg 0.0000 0.4942 0.0044
Mg 0.5000 0.1726 0.6445
Mg 0.5000 0.1796 0.1796
Mg 0.5000 0.6445 0.1726
Mg 0.5000 0.6712 0.6712
Bi 0.0000 0.4956 0.4956

Top 12 peaks for 10° ≤ 2θ ≤ 90°, by angle:
| 2θ/deg | Rel. int. |
| --- | --- |
| 14.33 | 626 |
| 14.80 | 332 |
| 16.56 | 498 |
| 21.97 | 569 |
| 28.90 | 232 |
| 29.86 | 397 |
| 31.03 | 226 |
| 33.48 | 832 |
| 34.33 | 1000 |
| 42.91 | 259 |
| 45.46 | 273 |
| 64.68 | 259 |

=====

(3)
This entry pairs a crystal structure of Mg6BiSb with its computed X-ray powder pattern. Radiation: λ = 1.5418 Å (Cu Kα). Structure: a crystal structure in the Materials Project, relaxed with GGA-PBE.
No peak broadening, texture or thermal motion is included.

Atomic structure:
a b c (Å): 5.3125 6.5528 6.5528
angles (deg): 59.65 90.00 90.00
Fractional positions:
Mg 0.0000 0.0000 0.0000
Mg 0.0000 0.4883 0.9975
Mg 0.0000 0.4971 0.4971
Mg 0.0000 0.9975 0.4883
Mg 0.5000 0.3284 0.8292
Mg 0.5000 0.8292 0.3284
Bi 0.5000 0.8300 0.8300
Sb 0.5000 0.3303 0.3303

Top 12 peaks for 10° ≤ 2θ ≤ 90°, by angle:
| 2θ/deg | Rel. int. |
| --- | --- |
| 15.60 | 836 |
| 16.69 | 631 |
| 22.92 | 743 |
| 31.47 | 211 |
| 31.65 | 423 |
| 32.22 | 264 |
| 33.74 | 359 |
| 35.83 | 511 |
| 35.98 | 1000 |
| 45.66 | 216 |
| 46.93 | 286 |
| 68.73 | 218 |

=====

(4)
This entry pairs a crystal structure of Mg14BiSb with its computed X-ray powder pattern. Radiation: λ = 1.5418 Å (Cu Kα). Structure: a crystal structure in the Materials Project, relaxed with GGA-PBE.
No peak broadening, texture or thermal motion is included.

Atomic structure:
a b c (Å): 10.4533 6.3865 6.3865
angles (deg): 62.63 90.00 90.00
Fractional positions:
Mg 0.0000 0.0000 0.0000
Mg 0.0000 0.0009 0.4998
Mg 0.0000 0.4998 0.0009
Mg 0.0000 0.4998 0.4998
Mg 0.2437 0.1644 0.6692
Mg 0.2437 0.6692 0.1644
Mg 0.2450 0.6707 0.6707
Mg 0.2477 0.1697 0.1697
Mg 0.5000 0.0001 0.5022
Mg 0.5000 0.5022 0.0001
Mg 0.7523 0.1697 0.1697
Mg 0.7550 0.6707 0.6707
Mg 0.7563 0.1644 0.6692
Mg 0.7563 0.6692 0.1644
Bi 0.5000 0.5024 0.5024
Sb 0.5000 0.0046 0.0046

Top 12 peaks for 10° ≤ 2θ ≤ 90°, by angle:
| 2θ/deg | Rel. int. |
| --- | --- |
| 16.25 | 337 |
| 16.96 | 317 |
| 18.34 | 528 |
| 23.57 | 306 |
| 31.55 | 338 |
| 32.72 | 270 |
| 34.31 | 361 |
| 36.03 | 1000 |
| 37.18 | 462 |
| 47.30 | 219 |
| 62.58 | 234 |
| 68.98 | 196 |

=====

(5)
This entry pairs a crystal structure of Mg6BiSb with its computed X-ray powder pattern. Radiation: λ = 1.5418 Å (Cu Kα). Structure: a crystal structure in the Materials Project, relaxed with GGA-PBE.
No peak broadening, texture or thermal motion is included.

Atomic structure:
a b c (Å): 5.3662 6.7368 6.7368
angles (deg): 54.62 90.00 90.00
Fractional positions:
Mg 0.0000 0.0000 0.0000
Mg 0.0000 0.0084 0.5178
Mg 0.0000 0.5178 0.0084
Mg 0.5000 0.3353 0.8353
Mg 0.5000 0.8353 0.3353
Mg 0.5000 0.8509 0.8509
Bi 0.5000 0.3152 0.3152
Sb 0.0000 0.5451 0.5451

Top 12 peaks for 10° ≤ 2θ ≤ 90°, by angle:
| 2θ/deg | Rel. int. |
| --- | --- |
| 16.14 | 714 |
| 22.25 | 618 |
| 23.17 | 629 |
| 26.59 | 222 |
| 29.85 | 317 |
| 31.46 | 356 |
| 33.40 | 374 |
| 36.76 | 1000 |
| 37.30 | 192 |
| 45.40 | 231 |
| 54.72 | 173 |
| 61.90 | 253 |

=====

(6)
This entry pairs a crystal structure of Mg3BiSb with its computed X-ray powder pattern. Radiation: λ = 1.5418 Å (Cu Kα). Structure: a crystal structure in the Materials Project, relaxed with GGA-PBE.
No peak broadening, texture or thermal motion is included.

Atomic structure:
a b c (Å): 4.6643 4.6643 7.3603
angles (deg): 90.00 90.00 120.00
Fractional positions:
Mg 0.0000 0.0000 0.0000
Mg 0.3333 0.6667 0.2609
Mg 0.6667 0.3333 0.6396
Bi 0.0000 0.0000 0.4147
Sb 0.3333 0.6667 0.8601

Top 12 peaks for 10° ≤ 2θ ≤ 90°, by angle:
| 2θ/deg | Rel. int. |
| --- | --- |
| 22.00 | 351 |
| 24.18 | 241 |
| 25.15 | 1000 |
| 32.92 | 471 |
| 38.61 | 431 |
| 43.14 | 329 |
| 46.08 | 266 |
| 46.63 | 197 |
| 51.62 | 133 |
| 59.26 | 129 |
| 62.09 | 170 |
| 72.99 | 141 |

=====

(7)
This entry pairs a crystal structure of Mg14BiSb with its computed X-ray powder pattern. Radiation: λ = 1.5418 Å (Cu Kα). Structure: a crystal structure in the Materials Project, relaxed with GGA-PBE.
No peak broadening, texture or thermal motion is included.

Atomic structure:
a b c (Å): 6.4776 6.4776 10.3135
angles (deg): 90.00 90.00 120.00
Fractional positions:
Mg 0.0000 0.0000 0.2503
Mg 0.0000 0.0000 0.7497
Mg 0.3314 0.1657 0.0000
Mg 0.3327 0.1663 0.5000
Mg 0.5047 0.0094 0.2476
Mg 0.5047 0.0094 0.7524
Mg 0.5047 0.4953 0.2476
Mg 0.5047 0.4953 0.7524
Mg 0.8343 0.1657 0.0000
Mg 0.8337 0.1663 0.5000
Mg 0.8337 0.6673 0.5000
Mg 0.8343 0.6686 0.0000
Mg 0.9906 0.4953 0.2476
Mg 0.9906 0.4953 0.7524
Bi 0.3333 0.6667 0.5000
Sb 0.3333 0.6667 0.0000

Top 12 peaks for 10° ≤ 2θ ≤ 90°, by angle:
| 2θ/deg | Rel. int. |
| --- | --- |
| 15.80 | 730 |
| 17.20 | 211 |
| 23.43 | 646 |
| 27.54 | 211 |
| 31.91 | 337 |
| 32.65 | 273 |
| 34.79 | 240 |
| 36.47 | 1000 |
| 46.30 | 196 |
| 47.92 | 216 |
| 63.47 | 198 |
| 68.41 | 193 |

=====

(8)
This entry pairs a crystal structure of Mg14SiBi with its computed X-ray powder pattern. Radiation: λ = 1.5418 Å (Cu Kα). Structure: a crystal structure in the Materials Project, relaxed with GGA-PBE.
No peak broadening, texture or thermal motion is included.

Atomic structure:
a b c (Å): 6.3730 6.3730 10.2187
angles (deg): 90.00 90.00 120.00
Fractional positions:
Mg 0.0000 0.0000 0.2475
Mg 0.0000 0.0000 0.7525
Mg 0.3302 0.1651 0.5000
Mg 0.3330 0.1665 0.0000
Mg 0.5022 0.0043 0.2593
Mg 0.5022 0.0043 0.7407
Mg 0.5022 0.4978 0.2593
Mg 0.5022 0.4978 0.7407
Mg 0.8335 0.1665 0.0000
Mg 0.8335 0.6670 0.0000
Mg 0.8349 0.1651 0.5000
Mg 0.8349 0.6698 0.5000
Mg 0.9957 0.4978 0.2593
Mg 0.9957 0.4978 0.7407
Si 0.3333 0.6667 0.5000
Bi 0.3333 0.6667 0.0000

Top 12 peaks for 10° ≤ 2θ ≤ 90°, by angle:
| 2θ/deg | Rel. int. |
| --- | --- |
| 16.06 | 449 |
| 18.27 | 617 |
| 23.73 | 391 |
| 29.36 | 219 |
| 30.85 | 198 |
| 32.44 | 299 |
| 35.13 | 246 |
| 37.02 | 1000 |
| 48.56 | 192 |
| 57.88 | 172 |
| 64.27 | 189 |
| 69.54 | 193 |